Structure and calculated X-ray powder pattern of Nd2HoCu6 (a structure optimized by DFT (PBE); a wavelength of 1.5418 Å).

Structural model:
```
data_Nd2HoCu6
_chemical_formula_sum 'Nd2 Ho1 Cu6'
_symmetry_space_group_name_H-M 'P 6/m m m'
_symmetry_Int_Tables_number 191
_symmetry_space_group_name_Hall '-P 6 2'
_cell_length_a 7.3848
_cell_length_b 7.3848
_cell_length_c 3.6896
_cell_angle_alpha 90.00
_cell_angle_beta 90.00
_cell_angle_gamma 120.00
loop_
_atom_site_label
_atom_site_type_symbol
_atom_site_fract_x
_atom_site_fract_y
_atom_site_fract_z
Nd1 Nd 0.3333 0.6667 0.0000
Ho1 Ho 0.0000 0.0000 0.0000
Cu1 Cu 0.0000 0.3305 0.5000
```

The 6 most intense peaks (5° ≤ 2θ ≤ 70°), by intensity:
34.4 deg, I = 100, hkl 1 1 1; 42.4 deg, I = 48, hkl 3 0 0; 55.7 deg, I = 28, hkl 2 2 1; 67.1 deg, I = 25, hkl 3 0 2; 24.1 deg, I = 17, hkl 1 1 0; 49.4 deg, I = 13, hkl 0 0 2

***

Structure and calculated X-ray powder pattern of CaAlGa4Ag2 (a structure optimized by DFT (PBE); a wavelength of 1.5418 Å).

Structural model:
```
data_CaAlGa4Ag2
_chemical_formula_sum 'Ca3 Al3 Ga12 Ag6'
_symmetry_space_group_name_H-M 'R -3 m'
_symmetry_Int_Tables_number 166
_symmetry_space_group_name_Hall '-R 3 2"'
_cell_length_a 4.5684
_cell_length_b 4.5684
_cell_length_c 26.6610
_cell_angle_alpha 90.00
_cell_angle_beta 90.00
_cell_angle_gamma 120.00
loop_
_atom_site_label
_atom_site_type_symbol
_atom_site_fract_x
_atom_site_fract_y
_atom_site_fract_z
Ca1 Ca 0.0000 0.0000 0.0000
Al1 Al 0.0000 0.0000 0.5000
Ga1 Ga 0.0000 0.0000 0.1274
Ga2 Ga 0.0000 0.0000 0.3982
Ag1 Ag 0.0000 0.0000 0.2479
```

The 12 most intense peaks (5° ≤ 2θ ≤ 70°), by intensity:
39.4 deg, I = 100, hkl 1 1 0; 35.2 deg, I = 99, hkl 0 1 8; 20.0 deg, I = 35, hkl 0 0 6; 53.9 deg, I = 28, hkl 2 0 8; 44.6 deg, I = 26, hkl 1 1 6; 68.8 deg, I = 26, hkl 1 2 8; 23.5 deg, I = 15, hkl 0 1 2; 43.8 deg, I = 13, hkl 0 1 11; 32.6 deg, I = 10, hkl 1 0 7; 60.3 deg, I = 9, hkl 1 0 16; 53.4 deg, I = 7, hkl 0 1 14; 10.0 deg, I = 7, hkl 0 0 3